# 1
# Sr3Nd2Nb10O30
Calculated powder diffractogram, Cu Kα (weighted mean of Kα1 and Kα2). Input: a PBE-relaxed structure.
Neutral-atom scattering factors, no anomalous dispersion.

```
Sr3Nd2Nb10O30
1.0
3.982 0.000 0.000
0.000 8.987 8.945
0.000 -8.987 8.945
Sr Nd Nb O
3 2 10 30
Direct
0.000 0.000 0.000
0.000 0.492 0.823
0.000 0.823 0.492
0.000 0.163 0.660
0.000 0.660 0.163
0.500 0.079 0.451
0.500 0.163 0.163
0.500 0.239 0.874
0.500 0.370 0.579
0.500 0.451 0.079
0.500 0.579 0.370
0.500 0.658 0.658
0.500 0.740 0.948
0.500 0.874 0.239
0.500 0.948 0.740
0.000 0.075 0.468
0.000 0.147 0.147
0.000 0.243 0.857
0.000 0.352 0.593
0.000 0.468 0.075
0.000 0.593 0.352
0.000 0.657 0.657
0.000 0.740 0.958
0.000 0.857 0.243
0.000 0.958 0.740
0.500 0.024 0.600
0.500 0.099 0.789
0.500 0.144 0.994
0.500 0.148 0.313
0.500 0.217 0.530
0.500 0.287 0.722
0.500 0.313 0.148
0.500 0.391 0.927
0.500 0.447 0.447
0.500 0.498 0.671
0.500 0.530 0.217
0.500 0.600 0.024
0.500 0.651 0.818
0.500 0.671 0.498
0.500 0.722 0.287
0.500 0.789 0.099
0.500 0.818 0.651
0.500 0.889 0.889
0.500 0.927 0.391
0.500 0.994 0.144
```

The 10 most intense peaks (2θ = 10–80°), low angle first:
2θ = 14.0°, I = 20; 2θ = 22.3°, I = 16; 2θ = 25.4°, I = 22; 2θ = 27.4°, I = 36; 2θ = 29.0°, I = 43; 2θ = 30.0°, I = 22; 2θ = 31.5°, I = 22; 2θ = 31.7°, I = 100; 2θ = 45.6°, I = 26; 2θ = 56.2°, I = 18

=====

# 2
# Pr3CBr5
Calculated powder diffractogram, Cu Kα (weighted mean of Kα1 and Kα2). Input: a PBE-relaxed structure.
Neutral-atom scattering factors, no anomalous dispersion.

```
Pr3CBr5
1.0
7.727 0.000 0.000
-2.559 8.853 0.000
-1.223 -3.418 8.544
Pr C Br
6 2 10
Direct
0.025 0.217 0.415
0.112 0.542 0.267
0.393 0.657 0.705
0.607 0.343 0.295
0.888 0.458 0.733
0.975 0.783 0.585
0.092 0.534 0.547
0.908 0.466 0.453
0.091 0.872 0.323
0.174 0.227 0.137
0.256 0.586 0.968
0.355 0.976 0.783
0.456 0.320 0.585
0.544 0.680 0.415
0.645 0.024 0.217
0.744 0.414 0.032
0.826 0.773 0.863
0.909 0.128 0.677
```

The 10 most intense peaks (2θ = 10–80°), low angle first:
2θ = 10.4°, I = 33; 2θ = 10.8°, I = 34; 2θ = 29.1°, I = 100; 2θ = 30.1°, I = 86; 2θ = 30.7°, I = 76; 2θ = 41.3°, I = 31; 2θ = 41.3°, I = 32; 2θ = 43.4°, I = 49; 2θ = 43.7°, I = 26; 2θ = 44.4°, I = 28

=====

# 3
# Na2LiH6N3
Calculated powder diffractogram, Cu Kα (weighted mean of Kα1 and Kα2). Input: a PBE-relaxed structure.
Neutral-atom scattering factors, no anomalous dispersion.

```
Na2LiH6N3
1.0
6.361 0.000 0.000
0.000 6.361 0.000
0.000 0.000 11.299
Na Li H N
8 4 24 12
Direct
0.000 0.000 0.000
0.000 0.000 0.500
0.000 0.500 0.138
0.000 0.500 0.862
0.500 0.000 0.362
0.500 0.000 0.638
0.500 0.500 0.250
0.500 0.500 0.750
0.354 0.355 0.500
0.355 0.646 0.000
0.645 0.354 0.000
0.646 0.645 0.500
0.078 0.347 0.365
0.078 0.347 0.635
0.165 0.832 0.221
0.165 0.832 0.779
0.168 0.165 0.279
0.168 0.165 0.721
0.248 0.697 0.428
0.248 0.697 0.572
0.303 0.248 0.072
0.303 0.248 0.928
0.347 0.922 0.135
0.347 0.922 0.865
0.653 0.078 0.135
0.653 0.078 0.865
0.697 0.752 0.072
0.697 0.752 0.928
0.752 0.303 0.428
0.752 0.303 0.572
0.832 0.835 0.279
0.832 0.835 0.721
0.835 0.168 0.221
0.835 0.168 0.779
0.922 0.653 0.365
0.922 0.653 0.635
0.214 0.270 0.343
0.214 0.270 0.657
0.270 0.786 0.157
0.270 0.786 0.843
0.274 0.342 0.000
0.342 0.726 0.500
0.658 0.274 0.500
0.726 0.658 0.000
0.730 0.214 0.157
0.730 0.214 0.843
0.786 0.730 0.343
0.786 0.730 0.657
```

The 10 most intense peaks (2θ = 10–80°), low angle first:
2θ = 16.0°, I = 56; 2θ = 21.0°, I = 28; 2θ = 31.0°, I = 89; 2θ = 32.5°, I = 32; 2θ = 35.3°, I = 81; 2θ = 37.6°, I = 100; 2θ = 39.7°, I = 48; 2θ = 40.1°, I = 92; 2θ = 45.7°, I = 34; 2θ = 56.1°, I = 33

=====

# 4
# LaCeAl2O6
Calculated powder diffractogram, Cu Kα (weighted mean of Kα1 and Kα2). Input: a PBE-relaxed structure.
Neutral-atom scattering factors, no anomalous dispersion.

```
LaCeAl2O6
1.0
2.696 1.557 4.393
-2.696 1.557 4.393
0.000 -3.113 4.393
La Ce Al O
1 1 2 6
Direct
0.000 0.000 0.000
0.500 0.500 0.500
0.250 0.250 0.250
0.750 0.750 0.750
0.000 0.526 0.474
0.027 0.500 0.973
0.474 0.000 0.526
0.500 0.973 0.027
0.526 0.474 0.000
0.973 0.027 0.500
```

The 10 most intense peaks (2θ = 10–80°), low angle first:
2θ = 23.3°, I = 48; 2θ = 33.3°, I = 100; 2θ = 41.0°, I = 42; 2θ = 47.7°, I = 36; 2θ = 53.8°, I = 22; 2θ = 59.4°, I = 30; 2θ = 59.5°, I = 10; 2θ = 69.8°, I = 10; 2θ = 69.9°, I = 10; 2θ = 79.6°, I = 17

=====

# 5
# PuSi
Calculated powder diffractogram, Cu Kα (weighted mean of Kα1 and Kα2). Input: a PBE-relaxed structure.
Neutral-atom scattering factors, no anomalous dispersion.

```
PuSi
1.0
7.871 0.000 0.000
0.000 3.886 0.000
0.000 0.000 5.748
Pu Si
4 4
Direct
0.176 0.250 0.106
0.324 0.750 0.606
0.676 0.250 0.394
0.824 0.750 0.894
0.032 0.250 0.618
0.468 0.750 0.118
0.532 0.250 0.882
0.968 0.750 0.382
```

The 10 most intense peaks (2θ = 10–80°), low angle first:
2θ = 27.5°, I = 28; 2θ = 27.7°, I = 37; 2θ = 30.0°, I = 100; 2θ = 32.4°, I = 64; 2θ = 33.2°, I = 66; 2θ = 36.0°, I = 26; 2θ = 37.7°, I = 42; 2θ = 40.7°, I = 29; 2θ = 52.8°, I = 34; 2θ = 58.6°, I = 40

=====

# 6
# Eu3As4Pd4
Calculated powder diffractogram, Cu Kα (weighted mean of Kα1 and Kα2). Input: a PBE-relaxed structure.
Neutral-atom scattering factors, no anomalous dispersion.

```
Eu3As4Pd4
1.0
4.179 0.000 0.000
0.000 4.361 0.000
0.000 0.000 12.912
Eu As Pd
3 4 4
Direct
0.000 0.000 0.000
0.000 0.500 0.299
0.000 0.500 0.701
0.500 0.000 0.382
0.500 0.000 0.618
0.500 0.500 0.100
0.500 0.500 0.900
0.000 0.000 0.500
0.500 0.000 0.189
0.500 0.000 0.811
0.500 0.500 0.500
```

The 10 most intense peaks (2θ = 10–80°), low angle first:
2θ = 29.8°, I = 29; 2θ = 32.8°, I = 100; 2θ = 35.1°, I = 17; 2θ = 40.6°, I = 38; 2θ = 41.4°, I = 29; 2θ = 43.3°, I = 25; 2θ = 51.8°, I = 12; 2θ = 60.9°, I = 23; 2θ = 61.5°, I = 18; 2θ = 70.1°, I = 11

=====

# 7
# CsAuF3
Calculated powder diffractogram, Cu Kα (weighted mean of Kα1 and Kα2). Input: a PBE-relaxed structure.
Neutral-atom scattering factors, no anomalous dispersion.

```
CsAuF3
1.0
4.568 0.000 0.000
0.000 4.568 0.000
0.000 0.000 4.568
Cs Au F
1 1 3
Direct
0.000 0.000 0.000
0.500 0.500 0.500
0.000 0.500 0.500
0.500 0.000 0.500
0.500 0.500 0.000
```

The 10 most intense peaks (2θ = 10–80°), low angle first:
2θ = 19.4°, I = 9; 2θ = 27.6°, I = 100; 2θ = 39.5°, I = 31; 2θ = 44.3°, I = 5; 2θ = 48.8°, I = 43; 2θ = 57.0°, I = 20; 2θ = 60.8°, I = 2; 2θ = 64.5°, I = 19; 2θ = 71.6°, I = 7; 2θ = 78.3°, I = 23

=====

# 8
# Li3TiF6
Calculated powder diffractogram, Cu Kα (weighted mean of Kα1 and Kα2). Input: a PBE-relaxed structure.
Neutral-atom scattering factors, no anomalous dispersion.

```
Li3TiF6
1.0
0.000 3.922 3.922
3.922 0.000 3.922
3.922 3.922 0.000
Li Ti F
3 1 6
Direct
0.000 0.000 0.000
0.250 0.250 0.250
0.750 0.750 0.750
0.500 0.500 0.500
0.250 0.250 0.750
0.250 0.750 0.250
0.250 0.750 0.750
0.750 0.250 0.250
0.750 0.250 0.750
0.750 0.750 0.250
```

The 10 most intense peaks (2θ = 10–80°), low angle first:
2θ = 19.6°, I = 50; 2θ = 22.7°, I = 100; 2θ = 38.0°, I = 25; 2θ = 39.8°, I = 23; 2θ = 46.3°, I = 59; 2θ = 50.7°, I = 10; 2θ = 52.1°, I = 32; 2θ = 61.4°, I = 7; 2θ = 67.6°, I = 30; 2θ = 72.3°, I = 12

=====

# 9
# BaAs2Pd2
Calculated powder diffractogram, Cu Kα (weighted mean of Kα1 and Kα2). Input: a PBE-relaxed structure.
Neutral-atom scattering factors, no anomalous dispersion.

```
BaAs2Pd2
1.0
-2.271 2.271 10.529
2.271 -2.271 10.529
2.271 2.271 -10.529
Ba As Pd
2 4 4
Direct
0.124 0.124 0.000
0.876 0.876 0.000
0.250 0.750 0.500
0.433 0.433 0.000
0.567 0.567 0.000
0.750 0.250 0.500
0.000 0.500 0.500
0.307 0.307 0.000
0.500 0.000 0.500
0.693 0.693 0.000
```

The 10 most intense peaks (2θ = 10–80°), low angle first:
2θ = 28.9°, I = 38; 2θ = 32.7°, I = 100; 2θ = 35.8°, I = 41; 2θ = 39.7°, I = 76; 2θ = 44.5°, I = 24; 2θ = 49.9°, I = 17; 2θ = 54.5°, I = 24; 2θ = 57.4°, I = 25; 2θ = 60.1°, I = 19; 2θ = 67.6°, I = 24

=====

# 10
# Pr2ScSi2
Calculated powder diffractogram, Cu Kα (weighted mean of Kα1 and Kα2). Input: a PBE-relaxed structure.
Neutral-atom scattering factors, no anomalous dispersion.

```
Pr2ScSi2
1.0
7.429 0.000 0.000
0.000 7.429 0.000
0.000 0.000 4.480
Pr Sc Si
4 2 4
Direct
0.178 0.322 0.000
0.322 0.822 0.000
0.678 0.178 0.000
0.822 0.678 0.000
0.000 0.000 0.500
0.500 0.500 0.500
0.117 0.617 0.500
0.383 0.117 0.500
0.617 0.883 0.500
0.883 0.383 0.500
```

The 10 most intense peaks (2θ = 10–80°), low angle first:
2θ = 19.8°, I = 25; 2θ = 26.8°, I = 41; 2θ = 31.3°, I = 54; 2θ = 33.6°, I = 100; 2θ = 38.3°, I = 22; 2θ = 40.3°, I = 20; 2θ = 49.0°, I = 17; 2θ = 50.7°, I = 18; 2θ = 54.9°, I = 25; 2θ = 56.4°, I = 17